Structure and computed powder diffractogram of TmCd2RuO6 (a cell relaxed with PBE; copper Kα).

The 12 most intense peaks (2θ = 10–90°), low angle first:
| Position (°2θ) | Rel. int. |
| --- | --- |
| 19.8 | 222 |
| 29.7 | 1000 |
| 31.1 | 515 |
| 44.6 | 299 |
| 46.2 | 250 |
| 51.7 | 139 |
| 54.5 | 357 |
| 64.9 | 90 |
| 66.2 | 161 |
| 71.0 | 90 |
| 73.7 | 88 |
| 89.7 | 92 |

```
10
Lattice="5.748 0.000 0.000 0.000 5.748 0.000 0.000 0.000 4.488" Properties=species:S:1:pos:R:3 pbc="T T T"
Tm 0.000 0.000 0.000
Cd 0.000 2.874 1.592
Cd 2.874 0.000 1.592
Ru 2.874 2.874 4.362
O 0.000 0.000 2.345
O 1.550 1.550 0.397
O 1.550 4.198 0.397
O 2.874 2.874 2.617
O 4.198 1.550 0.397
O 4.198 4.198 0.397
```